# 1
For AlAgAu, a DFT-relaxed cell (PBE, Alexandria) gives the calculated powder XRD pattern in this record (Cu Kα X-rays).

Largest 6 diffraction maxima, sorted by position, 2θ = 10–80°:
3.433 Å, I 617; 2.823 Å, I 363; 2.341 Å, I 1000; 2.235 Å, I 665; 2.218 Å, I 377; 2.162 Å, I 421

Structural model:
Lattice parameters (Å, degrees): 7.955 4.325 6.673 90.00 102.99 90.00
Space group Cm (No. 8)
Asymmetric unit:
Al (0.000, 0.000, 0.000) x2
Al (0.100, 0.500, 0.683) x2
Ag (0.104, 0.000, 0.434) x2
Ag (0.402, 0.000, 0.287) x2
Au (0.192, 0.500, 0.096) x2
Au (0.313, 0.000, 0.824) x2


# 2
For AlAgAu6, a DFT-relaxed cell (PBE, Alexandria) gives the calculated powder XRD pattern in this record (Cu Kα X-rays).

Largest 6 diffraction maxima, sorted by position, 2θ = 10–80°:
2.372 Å, I 1000; 2.215 Å, I 195; 2.178 Å, I 220; 1.553 Å, I 129; 1.307 Å, I 108; 1.292 Å, I 148

Structural model:
Lattice parameters (Å, degrees): 4.356 7.351 8.858 90.00 90.00 90.00
Space group Amm2 (No. 38)
Asymmetric unit:
Al (0.000, 0.000, 0.000) x2
Ag (0.000, 0.000, 0.468) x2
Au (0.000, 0.241, 0.728) x4
Au (0.500, 0.000, 0.237) x2
Au (0.500, 0.000, 0.686) x2
Au (0.500, 0.211, 0.963) x4


# 3
For Al2Ag3Au2, a DFT-relaxed cell (PBE, Alexandria) gives the calculated powder XRD pattern in this record (Cu Kα X-rays).

Largest 6 diffraction maxima, sorted by position, 2θ = 10–80°:
4.356 Å, I 547; 2.712 Å, I 521; 2.688 Å, I 524; 2.564 Å, I 1000; 2.261 Å, I 942; 1.907 Å, I 665

Structural model:
Lattice parameters (Å, degrees): 3.910 2.788 13.198 90.00 98.01 90.00
Space group P2/m (No. 10)
Asymmetric unit:
Al (0.109, 0.000, 0.199) x2
Ag (0.000, 0.000, 0.000) x1
Ag (0.214, 0.000, 0.425) x2
Au (0.349, 0.500, 0.711) x2


# 4
For AlAg6Au8, a DFT-relaxed cell (PBE, Alexandria) gives the calculated powder XRD pattern in this record (Cu Kα X-rays).

Largest 6 diffraction maxima, sorted by position, 2θ = 10–80°:
3.840 Å, I 168; 2.412 Å, I 168; 2.291 Å, I 1000; 2.217 Å, I 758; 1.593 Å, I 258; 1.294 Å, I 217

Structural model:
Lattice parameters (Å, degrees): 7.6791 7.6791 17.1244 90.00 90.00 120.00
Space group R-3 (No. 148, hexagonal axes)
Asymmetric unit:
Al (0.0000, 0.0000, 0.0000) x3
Ag (0.0083, 0.7054, 0.6294) x18
Au (0.0000, 0.0000, 0.2474) x6
Au (0.0109, 0.6970, 0.1294) x18


# 5
For AlAg3Au6, a DFT-relaxed cell (PBE, Alexandria) gives the calculated powder XRD pattern in this record (Cu Kα X-rays).

Largest 6 diffraction maxima, sorted by position, 2θ = 10–80°:
3.419 Å, I 1000; 3.334 Å, I 948; 2.539 Å, I 859; 2.381 Å, I 980; 2.302 Å, I 694; 1.620 Å, I 553

Structural model:
Lattice parameters (Å, degrees): 8.841 10.156 10.785 90.00 90.00 90.00
Space group Fmmm (No. 69)
Asymmetric unit:
Al (0.000, 0.000, 0.000) x4
Ag (0.000, 0.000, 0.500) x4
Ag (0.250, 0.250, 0.250) x8
Au (0.000, 0.238, 0.000) x8
Au (0.235, 0.000, 0.128) x16


# 6
For AlAg5Au4, a DFT-relaxed cell (PBE, Alexandria) gives the calculated powder XRD pattern in this record (Cu Kα X-rays).

Largest 6 diffraction maxima, sorted by position, 2θ = 10–80°:
2.402 Å, I 1000; 2.385 Å, I 998; 2.378 Å, I 996; 2.370 Å, I 975; 2.147 Å, I 748; 2.069 Å, I 646

Structural model:
Lattice parameters (Å, degrees): 4.960 5.874 6.542 76.64 75.11 77.13
Space group P-1 (No. 2)
Asymmetric unit:
Al (0.000, 0.000, 0.000) x1
Ag (0.000, 0.500, 0.000) x1
Ag (0.208, 0.793, 0.604) x2
Ag (0.396, 0.594, 0.205) x2
Au (0.192, 0.283, 0.617) x2
Au (0.387, 0.100, 0.193) x2


# 7
For AlAg4Au7, a DFT-relaxed cell (PBE, Alexandria) gives the calculated powder XRD pattern in this record (Cu Kα X-rays).

Largest 6 diffraction maxima, sorted by position, 2θ = 10–80°:
2.425 Å, I 1000; 2.300 Å, I 244; 2.072 Å, I 598; 1.496 Å, I 226; 1.436 Å, I 144; 1.254 Å, I 215

Structural model:
Lattice parameters (Å, degrees): 2.9914 2.9914 27.6024 90.00 90.00 120.00
Space group P-3m1 (No. 164)
Asymmetric unit:
Al (0.0000, 0.0000, 0.0000) x1
Ag (0.3333, 0.6667, 0.1605) x2
Ag (0.3333, 0.6667, 0.4153) x2
Au (0.0000, 0.0000, 0.2452) x2
Au (0.0000, 0.0000, 0.5000) x1
Au (0.3333, 0.6667, 0.6690) x2
Au (0.3333, 0.6667, 0.9265) x2


# 8
For Al2Ag5Au4, a DFT-relaxed cell (PBE, Alexandria) gives the calculated powder XRD pattern in this record (Cu Kα X-rays).

Largest 6 diffraction maxima, sorted by position, 2θ = 10–80°:
2.749 Å, I 435; 2.458 Å, I 810; 2.354 Å, I 780; 2.305 Å, I 992; 2.285 Å, I 1000; 2.105 Å, I 471

Structural model:
Lattice parameters (Å, degrees): 7.393 2.912 9.142 90.00 93.75 90.00
Space group P2/m (No. 10)
Asymmetric unit:
Al (0.082, 0.000, 0.147) x2
Ag (0.173, 0.000, 0.646) x2
Ag (0.465, 0.000, 0.171) x2
Ag (0.500, 0.000, 0.500) x1
Au (0.194, 0.500, 0.369) x2
Au (0.223, 0.500, 0.935) x2


# 9
For Al2Ag4Au5, a DFT-relaxed cell (PBE, Alexandria) gives the calculated powder XRD pattern in this record (Cu Kα X-rays).

Largest 6 diffraction maxima, sorted by position, 2θ = 10–80°:
2.431 Å, I 415; 2.386 Å, I 412; 2.333 Å, I 1000; 2.299 Å, I 382; 2.233 Å, I 602; 2.149 Å, I 376

Structural model:
Lattice parameters (Å, degrees): 7.362 17.658 2.962 90.00 90.00 90.00
Space group Pbam (No. 55)
Asymmetric unit:
Al (0.055, 0.188, 0.000) x4
Ag (0.057, 0.649, 0.000) x4
Ag (0.206, 0.928, 0.000) x4
Au (0.000, 0.500, 0.500) x2
Au (0.143, 0.070, 0.500) x4
Au (0.242, 0.781, 0.500) x4


# 10
For Al4Ag2Au9, a DFT-relaxed cell (PBE, Alexandria) gives the calculated powder XRD pattern in this record (Cu Kα X-rays).

Largest 6 diffraction maxima, sorted by position, 2θ = 10–80°:
3.724 Å, I 331; 2.464 Å, I 743; 2.210 Å, I 1000; 2.197 Å, I 681; 1.273 Å, I 241; 1.220 Å, I 235

Structural model:
Lattice parameters (Å, degrees): 4.4197 4.4197 16.1033 90.00 90.00 120.00
Space group P-3m1 (No. 164)
Asymmetric unit:
Al (0.3333, 0.6667, 0.1146) x2
Al (0.3333, 0.6667, 0.3826) x2
Ag (0.3333, 0.6667, 0.7677) x2
Au (0.0000, 0.0000, 0.1441) x2
Au (0.0000, 0.0000, 0.3207) x2
Au (0.0000, 0.0000, 0.5000) x1
Au (0.3333, 0.6667, 0.5826) x2
Au (0.3333, 0.6667, 0.9520) x2


# 11
For Ba2AlAg2Au4, a DFT-relaxed cell (PBE, Alexandria) gives the calculated powder XRD pattern in this record (Cu Kα X-rays).

Largest 6 diffraction maxima, sorted by position, 2θ = 10–80°:
2.783 Å, I 1000; 2.485 Å, I 420; 2.278 Å, I 126; 1.757 Å, I 142; 1.679 Å, I 189; 1.486 Å, I 274

Structural model:
Lattice parameters (Å, degrees): 7.029 7.029 9.111 90.00 90.00 90.00
Space group I4/mmm (No. 139)
Asymmetric unit:
Ba (0.000, 0.500, 0.250) x4
Al (0.000, 0.000, 0.000) x2
Ag (0.000, 0.000, 0.305) x4
Au (0.236, 0.236, 0.500) x8


# 12
For BaAl2Ag2Au, a DFT-relaxed cell (PBE, Alexandria) gives the calculated powder XRD pattern in this record (Cu Kα X-rays).

Largest 6 diffraction maxima, sorted by position, 2θ = 10–80°:
3.464 Å, I 817; 2.665 Å, I 1000; 2.450 Å, I 480; 1.804 Å, I 624; 1.732 Å, I 165; 1.249 Å, I 187

Structural model:
Lattice parameters (Å, degrees): 4.899 4.899 6.352 90.00 90.00 90.00
Space group P4/mmm (No. 123)
Asymmetric unit:
Ba (0.000, 0.000, 0.000) x1
Al (0.000, 0.500, 0.500) x2
Ag (0.500, 0.500, 0.237) x2
Au (0.000, 0.000, 0.500) x1